Entry 1:
Starting from a crystal structure in Alexandria, relaxed with PBE, the powder diffraction line list of La2Nd4YSc was computed for Cu Kα (weighted mean of Kα1 and Kα2).
Intensities are scaled so that the largest is 100.

a = 5.1033 Å, b = 5.1355 Å, c = 10.3247 Å
α = 90.00°, β = 90.06°, γ = 90.00°
Space group P2/m (No. 10)
Unique sites:
La  0.0000  0.0000  0.0000 [1 per cell]
La  0.5000  0.5000  0.5000 [1 per cell]
Nd  0.9996  0.5000  0.2446 [2 per cell]
Nd  0.5001  0.0000  0.2452 [2 per cell]
Y  0.0000  0.0000  0.5000 [1 per cell]
Sc  0.5000  0.5000  0.0000 [1 per cell]

Main lines, sorted by position (2θ = 5–70°):
- 30.15°, rel. 100.0, (1 1 2)
- 34.76°, rel. 17.0, (0 0 4)
- 34.94°, rel. 16.9, (0 2 0)
- 35.17°, rel. 16.6, (2 0 0)
- 50.11°, rel. 11.9, (0 2 4)
- 50.42°, rel. 11.8, (2 2 0)
- 59.48°, rel. 14.0, (1 1 6)
- 59.73°, rel. 14.1, (1 3 2)
- 60.03°, rel. 13.9, (3 1 2)
- 62.69°, rel. 12.1, (2 2 4)

Entry 2:
Starting from a crystal structure in Alexandria, relaxed with PBE, the powder diffraction line list of LaNd3Se4 was computed for Cu Kα (weighted mean of Kα1 and Kα2).
Intensities are scaled so that the largest is 100.

a = 7.3886 Å, b = 8.4302 Å, c = 7.3913 Å
α = 90.00°, β = 109.25°, γ = 90.00°
Space group P2/c (No. 13)
Unique sites:
La  0.0000  0.1258  0.2500 [2 per cell]
Nd  0.0000  0.3755  0.7500 [2 per cell]
Nd  0.5000  0.1259  0.7500 [2 per cell]
Nd  0.5000  0.3756  0.2500 [2 per cell]
Se  0.2515  0.3766  0.5015 [4 per cell]
Se  0.2532  0.1264  0.0002 [4 per cell]

Main lines, sorted by position (2θ = 5–70°):
- 25.54°, rel. 11.5, (2 0 0)
- 29.65°, rel. 50.5, (2 0 -2)
- 29.76°, rel. 100.0, (1 2 1)
- 42.25°, rel. 19.1, (2 0 2)
- 42.51°, rel. 75.1, (3 2 -1)
- 42.91°, rel. 18.3, (0 4 0)
- 52.46°, rel. 20.2, (4 0 0)
- 53.03°, rel. 19.6, (2 4 -2)
- 61.80°, rel. 12.3, (2 4 2)
- 69.86°, rel. 17.0, (5 2 -3)

Entry 3:
Starting from a crystal structure in Alexandria, relaxed with PBE, the powder diffraction line list of La3Nd5Se8 was computed for Cu Kα (weighted mean of Kα1 and Kα2).
Intensities are scaled so that the largest is 100.

a = 8.5289 Å, b = 8.5289 Å, c = 20.8638 Å
α = 90.00°, β = 90.00°, γ = 120.00°
Space group R-3m (No. 166, hexagonal axes)
Unique sites:
La  0.0000  0.5000  0.0000 [9 per cell]
Nd  0.0000  0.0000  0.0000 [3 per cell]
Nd  0.0000  0.0000  0.5000 [3 per cell]
Nd  0.0000  0.5000  0.5000 [9 per cell]
Se  0.0000  0.0000  0.2484 [6 per cell]
Se  0.0019  0.5010  0.7510 [18 per cell]

Main lines, sorted by position (2θ = 5–70°):
- 25.59°, rel. 14.8, (2 0 2)
- 29.64°, rel. 100.0, (0 2 4)
- 42.41°, rel. 74.8, (2 2 0)
- 50.19°, rel. 7.4, (0 2 10)
- 52.59°, rel. 26.5, (4 0 4)
- 61.53°, rel. 12.3, (0 4 8)
- 67.76°, rel. 3.0, (2 0 14)
- 69.77°, rel. 33.8, (2 4 4)

Entry 4:
Starting from a crystal structure in Alexandria, relaxed with PBE, the powder diffraction line list of La3Nd2Se8 was computed for Cu Kα (weighted mean of Kα1 and Kα2).
Intensities are scaled so that the largest is 100.

a = 14.8322 Å, b = 8.6788 Å, c = 7.3385 Å
α = 90.00°, β = 110.59°, γ = 90.00°
Space group C2/m (No. 12)
Unique sites:
La  0.0000  0.0000  0.0000 [2 per cell]
La  0.0000  0.2644  0.5000 [4 per cell]
Nd  0.2372  0.5000  0.1527 [4 per cell]
Se  0.1193  0.0000  0.4366 [4 per cell]
Se  0.1227  0.5000  0.4061 [4 per cell]
Se  0.1261  0.2337  0.9166 [8 per cell]

Main lines, sorted by position (2θ = 5–70°):
- 19.25°, rel. 57.4, (1 1 1)
- 21.59°, rel. 36.0, (3 1 -1)
- 25.24°, rel. 56.0, (2 2 -1)
- 25.94°, rel. 32.5, (0 0 2)
- 31.99°, rel. 100.0, (4 2 -1)
- 32.91°, rel. 42.9, (2 0 2)
- 38.51°, rel. 35.3, (6 0 -2)
- 38.92°, rel. 73.8, (4 2 1)
- 41.62°, rel. 36.6, (0 4 0)
- 42.43°, rel. 70.8, (2 2 -3)

Entry 5:
Starting from a crystal structure in Alexandria, relaxed with PBE, the powder diffraction line list of LaNdSe was computed for Cu Kα (weighted mean of Kα1 and Kα2).
Intensities are scaled so that the largest is 100.

a = 4.0901 Å, b = 4.0901 Å, c = 6.8280 Å
α = 90.00°, β = 90.00°, γ = 120.00°
Space group P3m1 (No. 156)
Unique sites:
La  0.0000  0.0000  0.0000 [1 per cell]
Nd  0.3333  0.6667  0.5448 [1 per cell]
Se  0.6667  0.3333  0.2772 [1 per cell]

Main lines, sorted by position (2θ = 5–70°):
- 26.10°, rel. 10.9, (0 0 2)
- 28.39°, rel. 100.0, (1 0 1)
- 36.56°, rel. 38.0, (0 1 2)
- 44.29°, rel. 28.4, (1 1 0)
- 47.48°, rel. 17.8, (0 1 3)
- 52.13°, rel. 9.9, (1 1 2)
- 53.45°, rel. 17.0, (0 2 1)
- 58.73°, rel. 9.5, (2 0 2)
- 60.90°, rel. 6.3, (1 1 3)
- 66.95°, rel. 6.3, (2 0 3)

Entry 6:
Starting from a crystal structure in Alexandria, relaxed with PBE, the powder diffraction line list of La3TbNd2Se6 was computed for Cu Kα (weighted mean of Kα1 and Kα2).
Intensities are scaled so that the largest is 100.

a = 7.3489 Å, b = 12.7651 Å, c = 7.3580 Å
α = 90.00°, β = 109.53°, γ = 90.00°
Space group C2/m (No. 12)
Unique sites:
La  0.0000  0.0000  0.0000 [2 per cell]
La  0.0000  0.3299  0.0000 [4 per cell]
Tb  0.0000  0.5000  0.5000 [2 per cell]
Nd  0.0000  0.1666  0.5000 [4 per cell]
Se  0.2427  0.3370  0.7399 [8 per cell]
Se  0.2447  0.5000  0.2567 [4 per cell]

Main lines, sorted by position (2θ = 5–70°):
- 25.68°, rel. 15.4, (0 0 2)
- 29.74°, rel. 100.0, (1 3 1)
- 42.55°, rel. 62.1, (3 3 -1)
- 42.62°, rel. 12.3, (2 0 2)
- 50.36°, rel. 5.9, (1 3 3)
- 50.43°, rel. 2.0, (3 3 1)
- 52.75°, rel. 19.7, (2 6 -2)
- 52.87°, rel. 6.5, (4 0 0)
- 61.76°, rel. 12.2, (4 0 -4)
- 69.93°, rel. 5.6, (1 9 1)

Entry 7:
Starting from a crystal structure in Alexandria, relaxed with PBE, the powder diffraction line list of La3Nd3Si4 was computed for Cu Kα (weighted mean of Kα1 and Kα2).
Intensities are scaled so that the largest is 100.

a = 4.3501 Å, b = 10.9364 Å, c = 11.2899 Å
α = 90.00°, β = 90.00°, γ = 90.00°
Space group Amm2 (No. 38)
Unique sites:
La  0.0000  0.0000  0.0000 [2 per cell]
La  0.5000  0.2370  0.0789 [4 per cell]
Nd  0.0000  0.0000  0.6504 [2 per cell]
Nd  0.0000  0.1769  0.3352 [4 per cell]
Si  0.5000  0.0000  0.2316 [2 per cell]
Si  0.5000  0.0000  0.4483 [2 per cell]
Si  0.5000  0.1107  0.8222 [4 per cell]

Main lines, sorted by position (2θ = 5–70°):
- 25.02°, rel. 23.3, (0 1 3)
- 25.68°, rel. 23.1, (0 3 1)
- 25.86°, rel. 20.7, (1 0 2)
- 26.18°, rel. 17.6, (1 2 0)
- 30.67°, rel. 100.0, (1 2 2)
- 32.51°, rel. 48.4, (1 1 3)
- 33.03°, rel. 49.3, (1 3 1)
- 35.80°, rel. 27.0, (0 2 4)
- 36.52°, rel. 22.9, (0 4 2)
- 41.52°, rel. 25.3, (2 0 0)

Entry 8:
Starting from a crystal structure in Alexandria, relaxed with PBE, the powder diffraction line list of LaNdSi2 was computed for Cu Kα (weighted mean of Kα1 and Kα2).
Intensities are scaled so that the largest is 100.

a = 3.9818 Å, b = 5.9880 Å, c = 8.3480 Å
α = 90.00°, β = 90.00°, γ = 90.00°
Space group Pmc2_1 (No. 26)
Unique sites:
La  0.0000  0.1352  0.0000 [2 per cell]
Nd  0.5000  0.3640  0.6398 [2 per cell]
Si  0.0000  0.3732  0.3548 [2 per cell]
Si  0.5000  0.1364  0.2867 [2 per cell]

Main lines, sorted by position (2θ = 5–70°):
- 26.02°, rel. 31.3, (0 1 2)
- 26.89°, rel. 38.3, (1 1 0)
- 28.98°, rel. 100.0, (1 1 1)
- 31.04°, rel. 72.7, (1 0 2)
- 31.75°, rel. 82.8, (0 2 1)
- 34.55°, rel. 44.6, (1 1 2)
- 35.58°, rel. 49.6, (0 1 3)
- 39.16°, rel. 40.4, (1 2 1)
- 50.29°, rel. 33.1, (1 2 3)
- 56.60°, rel. 31.8, (2 2 1)

Entry 9:
Starting from a crystal structure in Alexandria, relaxed with PBE, the powder diffraction line list of LaNd2Zn2Si2 was computed for Cu Kα (weighted mean of Kα1 and Kα2).
Intensities are scaled so that the largest is 100.

a = 4.1557 Å, b = 4.1557 Å, c = 35.2830 Å
α = 90.00°, β = 90.00°, γ = 120.00°
Space group R-3m (No. 166, hexagonal axes)
Unique sites:
La  0.0000  0.0000  0.0000 [3 per cell]
Nd  0.0000  0.0000  0.1221 [6 per cell]
Zn  0.0000  0.0000  0.3967 [6 per cell]
Si  0.0000  0.0000  0.2706 [6 per cell]

Main lines, sorted by position (2θ = 5–70°):
- 24.87°, rel. 35.5, (1 0 1)
- 26.75°, rel. 29.6, (1 0 4)
- 30.52°, rel. 62.6, (1 0 7)
- 32.10°, rel. 100.0, (0 1 8)
- 35.63°, rel. 27.8, (1 0 10)
- 38.26°, rel. 16.8, (0 0 15)
- 43.56°, rel. 62.5, (1 1 0)
- 50.79°, rel. 17.3, (0 1 17)
- 55.12°, rel. 21.3, (2 0 8)
- 59.35°, rel. 27.3, (1 1 15)

Entry 10:
Starting from a crystal structure in Alexandria, relaxed with PBE, the powder diffraction line list of LaNdZnSi was computed for Cu Kα (weighted mean of Kα1 and Kα2).
Intensities are scaled so that the largest is 100.

a = 4.1593 Å, b = 4.3685 Å, c = 11.3823 Å
α = 90.00°, β = 90.00°, γ = 90.00°
Space group Amm2 (No. 38)
Unique sites:
La  0.0000  0.0000  0.0000 [2 per cell]
Nd  0.5000  0.0000  0.7124 [2 per cell]
Zn  0.5000  0.0000  0.4157 [2 per cell]
Si  0.0000  0.0000  0.2836 [2 per cell]

Main lines, sorted by position (2θ = 5–70°):
- 26.54°, rel. 43.8, (1 0 2)
- 30.70°, rel. 100.0, (1 1 1)
- 31.22°, rel. 60.5, (0 1 3)
- 31.44°, rel. 22.5, (0 0 4)
- 38.15°, rel. 36.5, (1 1 3)
- 38.33°, rel. 20.5, (1 0 4)
- 41.34°, rel. 23.4, (0 2 0)
- 43.52°, rel. 20.2, (2 0 0)
- 49.80°, rel. 16.0, (1 2 2)
- 54.53°, rel. 24.8, (2 1 3)

Entry 11:
Starting from a crystal structure in Alexandria, relaxed with PBE, the powder diffraction line list of La2NdSm7 was computed for Cu Kα (weighted mean of Kα1 and Kα2).
Intensities are scaled so that the largest is 100.

a = 5.1792 Å, b = 7.3109 Å, c = 9.7081 Å
α = 78.83°, β = 74.55°, γ = 89.93°
Space group P-1 (No. 2)
Unique sites:
La  0.1991  0.1003  0.1019 [2 per cell]
Nd  0.0000  0.5000  0.5000 [1 per cell]
Sm  0.0000  0.0000  0.5000 [1 per cell]
Sm  0.1993  0.5993  0.1012 [2 per cell]
Sm  0.4002  0.6986  0.6996 [2 per cell]
Sm  0.4014  0.2014  0.6974 [2 per cell]

Main lines, sorted by position (2θ = 5–70°):
- 29.89°, rel. 100.0, (1 2 1)
- 34.60°, rel. 33.9, (2 0 1)
- 34.75°, rel. 16.8, (0 2 -2)
- 49.73°, rel. 18.2, (2 2 4)
- 49.88°, rel. 18.1, (0 4 1)
- 59.03°, rel. 10.9, (1 4 4)
- 59.15°, rel. 14.5, (3 2 2)
- 59.24°, rel. 10.8, (3 -2 1)
- 59.37°, rel. 7.1, (1 4 -1)
- 62.02°, rel. 6.3, (2 0 6)

Entry 12:
Starting from a crystal structure in Alexandria, relaxed with PBE, the powder diffraction line list of LaNd10Sm4 was computed for Cu Kα (weighted mean of Kα1 and Kα2).
Intensities are scaled so that the largest is 100.

a = 12.8965 Å, b = 12.8965 Å, c = 6.9344 Å
α = 90.00°, β = 90.00°, γ = 90.00°
Space group I4/m (No. 87)
Unique sites:
La  0.0000  0.0000  0.0000 [2 per cell]
Nd  0.0000  0.5000  0.2500 [4 per cell]
Nd  0.1293  0.7082  0.2474 [16 per cell]
Sm  0.0668  0.1776  0.5000 [8 per cell]

Main lines, sorted by position (2θ = 5–70°):
- 14.50°, rel. 26.4, (1 0 1)
- 27.52°, rel. 64.0, (1 1 2)
- 28.07°, rel. 36.9, (3 2 1)
- 29.38°, rel. 32.5, (3 3 0)
- 31.01°, rel. 100.0, (2 4 0)
- 33.94°, rel. 89.4, (3 1 2)
- 35.49°, rel. 36.0, (5 1 0)
- 44.37°, rel. 62.8, (6 2 0)
- 52.03°, rel. 26.0, (2 6 2)
- 62.51°, rel. 26.8, (2 4 4)